# 1
Computed powder diffraction line list of PuSi3IrRh for Cu Kα X-rays, from a cell relaxed with GGA-PBE.

Structural model:
```
data_PuSi3IrRh
_chemical_formula_sum 'Pu2 Si6 Ir2 Rh2'
_cell_length_a 7.567
_cell_length_b 7.567
_cell_length_c 5.554
_cell_angle_alpha 90.00
_cell_angle_beta 90.00
_cell_angle_gamma 132.50
_symmetry_space_group_name_H-M 'P 1'
_symmetry_Int_Tables_number 1
_symmetry_space_group_name_Hall 'P 1'
loop_
_atom_site_label
_atom_site_type_symbol
_atom_site_fract_x
_atom_site_fract_y
_atom_site_fract_z
Pu1 Pu 0.188 0.812 0.750
Pu2 Pu 0.812 0.188 0.250
Si1 Si 0.236 0.764 0.250
Si2 Si 0.284 0.284 0.000
Si3 Si 0.284 0.284 0.500
Si4 Si 0.716 0.716 0.000
Si5 Si 0.716 0.716 0.500
Si6 Si 0.764 0.236 0.750
Ir1 Ir 0.071 0.929 0.250
Ir2 Ir 0.929 0.071 0.750
Rh1 Rh 0.397 0.603 0.250
Rh2 Rh 0.603 0.397 0.750
```

Top 10 peaks for 2θ = 15–90°, in order of rising 2θ:
2θ = 15.9°, d = 5.579 Å, I = 45
2θ = 29.1°, d = 3.068 Å, I = 100
2θ = 29.3°, d = 3.047 Å, I = 52
2θ = 30.4°, d = 2.939 Å, I = 45
2θ = 32.2°, d = 2.777 Å, I = 40
2θ = 39.2°, d = 2.297 Å, I = 24
2θ = 42.7°, d = 2.115 Å, I = 37
2θ = 44.1°, d = 2.053 Å, I = 50
2θ = 51.2°, d = 1.783 Å, I = 20
2θ = 51.8°, d = 1.763 Å, I = 21

=====

# 2
Computed powder diffraction line list of Dy2Y6Er2Tm for Cu Kα X-rays, from a cell relaxed with GGA-PBE.

Structural model:
```
data_Dy2Y6Er2Tm
_chemical_formula_sum 'Dy2 Y6 Er2 Tm1'
_cell_length_a 6.630
_cell_length_b 6.630
_cell_length_c 10.486
_cell_angle_alpha 90.00
_cell_angle_beta 90.00
_cell_angle_gamma 129.67
_symmetry_space_group_name_H-M 'P 1'
_symmetry_Int_Tables_number 1
_symmetry_space_group_name_Hall 'P 1'
loop_
_atom_site_label
_atom_site_type_symbol
_atom_site_fract_x
_atom_site_fract_y
_atom_site_fract_z
Dy1 Dy 0.135 0.865 0.000
Dy2 Dy 0.865 0.135 0.000
Y1 Y 0.000 0.000 0.295
Y2 Y 0.000 0.000 0.705
Y3 Y 0.347 0.653 0.207
Y4 Y 0.347 0.653 0.793
Y5 Y 0.653 0.347 0.207
Y6 Y 0.653 0.347 0.793
Er1 Er 0.206 0.794 0.500
Er2 Er 0.794 0.206 0.500
Tm1 Tm 0.500 0.500 0.500
```

Top 10 peaks for 2θ = 15–90°, in order of rising 2θ:
2θ = 16.9°, d = 5.243 Å, I = 11
2θ = 31.0°, d = 2.884 Å, I = 54
2θ = 31.7°, d = 2.819 Å, I = 38
2θ = 32.3°, d = 2.770 Å, I = 100
2θ = 34.2°, d = 2.621 Å, I = 19
2θ = 45.0°, d = 2.016 Å, I = 18
2θ = 47.4°, d = 1.920 Å, I = 15
2θ = 56.9°, d = 1.619 Å, I = 27
2θ = 62.5°, d = 1.485 Å, I = 20
2θ = 63.4°, d = 1.468 Å, I = 13

=====

# 3
Computed powder diffraction line list of SmThCd14 for Cu Kα X-rays, from a cell relaxed with GGA-PBE.

Structural model:
```
data_SmThCd14
_chemical_formula_sum 'Sm1 Th1 Cd14'
_cell_length_a 6.713
_cell_length_b 6.713
_cell_length_c 8.466
_cell_angle_alpha 90.00
_cell_angle_beta 90.00
_cell_angle_gamma 90.00
_symmetry_space_group_name_H-M 'P 1'
_symmetry_Int_Tables_number 1
_symmetry_space_group_name_Hall 'P 1'
loop_
_atom_site_label
_atom_site_type_symbol
_atom_site_fract_x
_atom_site_fract_y
_atom_site_fract_z
Sm1 Sm 0.000 0.000 0.000
Th1 Th 0.500 0.500 0.000
Cd1 Cd 0.000 0.000 0.500
Cd2 Cd 0.000 0.500 0.000
Cd3 Cd 0.000 0.500 0.500
Cd4 Cd 0.248 0.248 0.264
Cd5 Cd 0.248 0.248 0.736
Cd6 Cd 0.248 0.752 0.264
Cd7 Cd 0.248 0.752 0.736
Cd8 Cd 0.500 0.000 0.000
Cd9 Cd 0.500 0.000 0.500
Cd10 Cd 0.500 0.500 0.500
Cd11 Cd 0.752 0.248 0.264
Cd12 Cd 0.752 0.248 0.736
Cd13 Cd 0.752 0.752 0.264
Cd14 Cd 0.752 0.752 0.736
```

Top 10 peaks for 2θ = 15–90°, in order of rising 2θ:
2θ = 28.6°, d = 3.120 Å, I = 2
2θ = 34.1°, d = 2.630 Å, I = 100
2θ = 37.9°, d = 2.373 Å, I = 38
2θ = 42.7°, d = 2.116 Å, I = 13
2θ = 54.7°, d = 1.678 Å, I = 13
2θ = 58.4°, d = 1.580 Å, I = 19
2θ = 66.0°, d = 1.415 Å, I = 28
2θ = 71.8°, d = 1.315 Å, I = 10
2θ = 72.7°, d = 1.301 Å, I = 9
2θ = 81.0°, d = 1.187 Å, I = 4